The following is a calculated X-ray powder pattern of CsTiFe2F8. It was derived from DFT lattice parameters and positions (GGA+U), using Cu Kα (weighted mean of Kα1 and Kα2).
Kinematic intensities with the Lorentz-polarization factor, no thermal factor.

Atomic structure:
```
CsTiFe2F8
1.0
2.7368 1.5801 8.2678
-2.7368 1.5801 8.2678
0.0000 -3.1602 8.2678
Cs Ti Fe F
1 1 2 8
direct
0.0000 0.0000 0.0000
0.5000 0.5000 0.5000
0.2389 0.2389 0.2389
0.7611 0.7611 0.7611
0.1552 0.7430 0.4659
0.2570 0.5341 0.8448
0.3157 0.3157 0.3157
0.4659 0.1552 0.7430
0.5341 0.8448 0.2570
0.6843 0.6843 0.6843
0.7430 0.4659 0.1552
0.8448 0.2570 0.5341
```

Main lines, in order of falling intensity (2θ from 10° to 90°):
| two_theta | Rel. int. |
| --- | --- |
| 23.62 | 100.0 |
| 34.55 | 39.0 |
| 32.72 | 37.2 |
| 55.73 | 19.0 |
| 53.22 | 18.3 |
| 40.76 | 18.1 |
| 58.40 | 14.3 |
| 32.49 | 12.2 |
| 39.49 | 11.3 |
| 48.34 | 10.7 |


The following is a calculated X-ray powder pattern of Cs2TlFe2F7. It was derived from DFT lattice parameters and positions (GGA+U), using Cu Kα (weighted mean of Kα1 and Kα2).
Kinematic intensities with the Lorentz-polarization factor, no thermal factor.

Atomic structure:
```
Cs2TlFe2F7
1.0
0.0000 3.0594 11.8384
2.9877 0.0000 11.8384
2.9877 3.0594 0.0000
Cs Tl Fe F
2 1 2 7
direct
0.1854 0.1854 0.8146
0.8146 0.8146 0.1854
0.0000 0.0000 0.0000
0.4098 0.4098 0.5902
0.5902 0.5902 0.4098
0.0903 0.0903 0.4097
0.3202 0.3202 0.6798
0.4097 0.4097 0.0903
0.5000 0.5000 0.5000
0.5903 0.5903 0.9097
0.6798 0.6798 0.3202
0.9097 0.9097 0.5903
```

Main lines, in order of falling intensity (2θ from 10° to 90°):
| two_theta | Rel. int. |
| --- | --- |
| 28.12 | 100.0 |
| 42.28 | 34.3 |
| 29.19 | 29.2 |
| 29.91 | 27.4 |
| 21.12 | 21.0 |
| 51.10 | 19.3 |
| 52.00 | 18.4 |
| 37.19 | 16.7 |
| 37.77 | 16.0 |
| 58.14 | 15.1 |


The following is a calculated X-ray powder pattern of CsFe2WF8. It was derived from DFT lattice parameters and positions (GGA+U), using Cu Kα (weighted mean of Kα1 and Kα2).
Kinematic intensities with the Lorentz-polarization factor, no thermal factor.

Atomic structure:
```
CsFe2WF8
1.0
2.7910 1.6114 8.2273
-2.7910 1.6114 8.2273
0.0000 -3.2227 8.2273
Cs Fe W F
1 2 1 8
direct
0.0000 0.0000 0.0000
0.2432 0.2432 0.2432
0.7568 0.7568 0.7568
0.5000 0.5000 0.5000
0.1351 0.4589 0.7585
0.2415 0.8649 0.5411
0.3200 0.3200 0.3200
0.4589 0.7585 0.1351
0.5411 0.2415 0.8649
0.6800 0.6800 0.6800
0.7585 0.1351 0.4589
0.8649 0.5411 0.2415
```

Main lines, in order of falling intensity (2θ from 10° to 90°):
| two_theta | Rel. int. |
| --- | --- |
| 23.38 | 100.0 |
| 32.07 | 41.3 |
| 34.49 | 28.5 |
| 55.50 | 24.7 |
| 19.72 | 23.3 |
| 40.06 | 22.1 |
| 52.21 | 21.3 |
| 39.00 | 20.0 |
| 57.17 | 14.3 |
| 58.73 | 13.2 |